No. 1
Structure and simulated powder diffraction line list of NdCuNi4 (a GGA-PBE-relaxed structure; Cu Kα, 1.54184 Å).
Lines closer than 0.1° are merged.

Most intense lines, 10° ≤ 2θ ≤ 90°, by intensity:
2θ/deg  d (Å)  I (rel.)
42.72  2.117  100
30.54  2.927  52
43.07  2.100  47
45.26  2.004  40
42.16  2.143  32
36.03  2.493  29
69.89  1.346  22
41.68  2.167  22
63.56  1.464  18
30.38  2.942  18

Cell and atoms:
Cell: 4.9861 4.9861 4.0073 Å, 90.00 90.00 120.71°
Atoms (fractional coordinates):
Nd 0.0000 0.0000 0.0000
Cu 0.5000 0.5000 0.5000
Ni 0.0000 0.5000 0.5000
Ni 0.3242 0.6758 0.0000
Ni 0.5000 0.0000 0.5000
Ni 0.6758 0.3242 0.0000

---

No. 2
Structure and simulated powder diffraction line list of Nd4Cu3Ni (a GGA-PBE-relaxed structure; Cu Kα, 1.54184 Å).
Lines closer than 0.1° are merged.

Most intense lines, 10° ≤ 2θ ≤ 90°, by intensity:
2θ/deg  d (Å)  I (rel.)
31.52  2.838  100
39.78  2.266  89
35.41  2.535  87
34.08  2.631  87
28.25  3.159  86
40.43  2.231  59
53.89  1.701  56
40.10  2.248  50
58.26  1.584  33
25.47  3.498  30

Cell and atoms:
Cell: 5.6337 4.4615 7.3573 Å, 90.00 90.09 90.00°
Atoms (fractional coordinates):
Nd 0.0000 0.0000 0.0000
Nd 0.2390 0.0000 0.5129
Nd 0.4998 0.5000 0.8613
Nd 0.7476 0.5000 0.3710
Cu 0.2565 0.5000 0.2210
Cu 0.4889 0.0000 0.1535
Cu 0.7531 0.0000 0.6521
Ni 0.9894 0.5000 0.7210

---

No. 3
Structure and simulated powder diffraction line list of Nd12Cu6O25 (a GGA-PBE-relaxed structure; Cu Kα, 1.54184 Å).
Lines closer than 0.1° are merged.

Most intense lines, 10° ≤ 2θ ≤ 90°, by intensity:
2θ/deg  d (Å)  I (rel.)
32.73  2.736  100
32.03  2.794  79
31.12  2.874  78
48.23  1.887  35
59.00  1.566  30
24.37  3.652  30
58.52  1.577  30
31.84  2.810  28
27.44  3.250  27
35.69  2.516  24

Cell and atoms:
Cell: 8.8228 8.8228 18.4461 Å, 110.23 110.23 24.70°
Atoms (fractional coordinates):
Nd 0.0316 0.0316 0.2356
Nd 0.1431 0.1431 0.1029
Nd 0.1693 0.1693 0.9217
Nd 0.2390 0.2390 0.4023
Nd 0.3484 0.3484 0.2666
Nd 0.4476 0.4476 0.5709
Nd 0.5524 0.5524 0.4291
Nd 0.6516 0.6516 0.7334
Nd 0.7610 0.7610 0.5977
Nd 0.8307 0.8307 0.0783
Nd 0.8569 0.8569 0.8971
Nd 0.9684 0.9684 0.7644
Cu 0.1039 0.1039 0.5808
Cu 0.3105 0.3105 0.7480
Cu 0.4838 0.4838 0.0740
Cu 0.5162 0.5162 0.9260
Cu 0.6895 0.6895 0.2520
Cu 0.8961 0.8961 0.4192
O 0.0000 0.0000 0.5000
O 0.0182 0.0182 0.9108
O 0.0281 0.0281 0.6659
O 0.1692 0.1692 0.4890
O 0.1880 0.1880 0.2526
O 0.2106 0.2106 0.6575
O 0.2224 0.2224 0.8137
O 0.2499 0.2499 0.0571
O 0.3769 0.3769 0.6588
O 0.3855 0.3855 0.9863
O 0.3965 0.3965 0.4180
O 0.4141 0.4141 0.8365
O 0.4294 0.4294 0.1902
O 0.5706 0.5706 0.8098
O 0.5859 0.5859 0.1635
O 0.6035 0.6035 0.5820
O 0.6145 0.6145 0.0137
O 0.6231 0.6231 0.3412
O 0.7501 0.7501 0.9429
O 0.7776 0.7776 0.1863
O 0.7894 0.7894 0.3425
O 0.8120 0.8120 0.7474
O 0.8308 0.8308 0.5110
O 0.9719 0.9719 0.3341
O 0.9818 0.9818 0.0892

---

No. 4
Structure and simulated powder diffraction line list of Nd2Cu2O5 (a GGA-PBE-relaxed structure; Cu Kα, 1.54184 Å).
Lines closer than 0.1° are merged.

Most intense lines, 10° ≤ 2θ ≤ 90°, by intensity:
2θ/deg  d (Å)  I (rel.)
33.37  2.685  100
31.97  2.800  53
32.60  2.747  35
30.99  2.886  22
29.58  3.020  20
49.07  1.857  20
40.29  2.238  17
42.23  2.140  17
44.06  2.055  16
46.68  1.946  14

Cell and atoms:
Cell: 7.1343 7.1343 27.2913 Å, 102.43 102.43 30.17°
Atoms (fractional coordinates):
Nd 0.0955 0.6579 0.5982
Nd 0.1154 0.6083 0.7316
Nd 0.1184 0.5748 0.8645
Nd 0.3421 0.9045 0.9018
Nd 0.3917 0.8846 0.7684
Nd 0.4252 0.8816 0.6355
Nd 0.5748 0.1184 0.3645
Nd 0.6083 0.1154 0.2316
Nd 0.6579 0.0955 0.0982
Nd 0.8816 0.4252 0.1355
Nd 0.8846 0.3917 0.2684
Nd 0.9045 0.3421 0.4018
Cu 0.0811 0.2916 0.0301
Cu 0.2484 0.7395 0.3191
Cu 0.2610 0.7235 0.4612
Cu 0.2605 0.7516 0.1809
Cu 0.2765 0.7390 0.0388
Cu 0.2916 0.0811 0.5301
Cu 0.7084 0.9189 0.4699
Cu 0.7235 0.2610 0.9612
Cu 0.7395 0.2484 0.8191
Cu 0.7390 0.2765 0.5388
Cu 0.7516 0.2605 0.6809
Cu 0.9189 0.7084 0.9699
O 0.0024 0.5841 0.4101
O 0.0430 0.6130 0.1651
O 0.0438 0.5852 0.2909
O 0.1210 0.5421 0.0388
O 0.1852 0.7204 0.9618
O 0.2417 0.7490 0.8197
O 0.2510 0.7583 0.6803
O 0.2538 0.7462 0.2500
O 0.2590 0.7194 0.3893
O 0.2796 0.8148 0.5382
O 0.2806 0.7410 0.1107
O 0.3870 0.9570 0.3349
O 0.4148 0.9562 0.2091
O 0.4159 0.9976 0.0899
O 0.4579 0.8790 0.4612
O 0.5421 0.1210 0.5388
O 0.5841 0.0024 0.9101
O 0.5852 0.0438 0.7909
O 0.6130 0.0430 0.6651
O 0.7194 0.2590 0.8893
O 0.7204 0.1852 0.4618
O 0.7410 0.2806 0.6107
O 0.7462 0.2538 0.7500
O 0.7490 0.2417 0.3197
O 0.7583 0.2510 0.1803
O 0.8148 0.2796 0.0382
O 0.8790 0.4579 0.9612
O 0.9562 0.4148 0.7091
O 0.9570 0.3870 0.8349
O 0.9976 0.4159 0.5899

---

No. 5
Structure and simulated powder diffraction line list of Nd2Cu2O5 (a GGA-PBE-relaxed structure; Cu Kα, 1.54184 Å).
Lines closer than 0.1° are merged.

Most intense lines, 10° ≤ 2θ ≤ 90°, by intensity:
2θ/deg  d (Å)  I (rel.)
33.40  2.683  100
32.50  2.755  37
38.99  2.310  30
35.36  2.538  26
61.04  1.518  26
40.48  2.228  26
29.60  3.018  26
48.01  1.895  25
38.81  2.320  23
23.45  3.794  20

Cell and atoms:
Cell: 5.7247 10.1523 3.7903 Å, 90.00 90.00 90.00°
Atoms (fractional coordinates):
Nd 0.1501 0.1489 0.0000
Nd 0.3499 0.6489 0.0000
Nd 0.6501 0.3511 0.0000
Nd 0.8499 0.8511 0.0000
Cu 0.1885 0.4052 0.5000
Cu 0.3115 0.9052 0.5000
Cu 0.6885 0.0948 0.5000
Cu 0.8115 0.5948 0.5000
O 0.0000 0.0000 0.5000
O 0.0899 0.7072 0.5000
O 0.2261 0.3986 0.0000
O 0.2739 0.8986 0.0000
O 0.4101 0.2072 0.5000
O 0.5000 0.5000 0.5000
O 0.5899 0.7928 0.5000
O 0.7261 0.1014 0.0000
O 0.7739 0.6014 0.0000
O 0.9101 0.2928 0.5000

---

No. 6
Structure and simulated powder diffraction line list of Nd4Cu2O7 (a GGA-PBE-relaxed structure; Cu Kα, 1.54184 Å).
Lines closer than 0.1° are merged.

Most intense lines, 10° ≤ 2θ ≤ 90°, by intensity:
2θ/deg  d (Å)  I (rel.)
32.40  2.763  100
30.53  2.928  96
31.55  2.836  73
54.35  1.688  41
57.87  1.593  31
42.39  2.132  29
55.99  1.642  29
43.78  2.068  28
47.90  1.899  25
22.10  4.021  21

Cell and atoms:
Cell: 6.6836 6.6836 8.5286 Å, 108.61 108.61 33.01°
Atoms (fractional coordinates):
Nd 0.1426 0.1426 0.3339
Nd 0.1593 0.1593 0.8192
Nd 0.8407 0.8407 0.1808
Nd 0.8574 0.8574 0.6661
Cu 0.5000 0.5000 0.0000
Cu 0.5000 0.5000 0.5000
O 0.0000 0.0000 0.5000
O 0.2249 0.2249 0.1153
O 0.2479 0.2479 0.6199
O 0.4897 0.4897 0.2089
O 0.5103 0.5103 0.7911
O 0.7521 0.7521 0.3801
O 0.7751 0.7751 0.8847

---

No. 7
Structure and simulated powder diffraction line list of Nd3Cu4P4O2 (a GGA-PBE-relaxed structure; Cu Kα, 1.54184 Å).
Lines closer than 0.1° are merged.

Most intense lines, 10° ≤ 2θ ≤ 90°, by intensity:
2θ/deg  d (Å)  I (rel.)
32.58  2.749  100
37.82  2.379  71
45.46  1.995  61
34.54  2.597  59
24.47  3.638  59
57.03  1.615  40
33.77  2.654  28
57.81  1.595  24
52.57  1.741  20
27.97  3.190  19

Cell and atoms:
Cell: 13.5675 13.5675 13.5675 Å, 163.09 163.09 24.01°
Atoms (fractional coordinates):
Nd 0.0000 0.0000 0.0000
Nd 0.2952 0.2952 0.0000
Nd 0.7048 0.7048 0.0000
Cu 0.0941 0.5941 0.5000
Cu 0.4059 0.9059 0.5000
Cu 0.5941 0.0941 0.5000
Cu 0.9059 0.4059 0.5000
P 0.1407 0.1407 0.0000
P 0.4580 0.4580 0.0000
P 0.5420 0.5420 0.0000
P 0.8593 0.8593 0.0000
O 0.2500 0.7500 0.5000
O 0.7500 0.2500 0.5000

---

What did the sixth record say?
Structure and simulated powder diffraction line list of Nd4Cu2O7 (a GGA-PBE-relaxed structure; Cu Kα, 1.54184 Å).
Lines closer than 0.1° are merged.

Most intense lines, 10° ≤ 2θ ≤ 90°, by intensity:
2θ/deg  d (Å)  I (rel.)
32.40  2.763  100
30.53  2.928  96
31.55  2.836  73
54.35  1.688  41
57.87  1.593  31
42.39  2.132  29
55.99  1.642  29
43.78  2.068  28
47.90  1.899  25
22.10  4.021  21

Cell and atoms:
Cell: 6.6836 6.6836 8.5286 Å, 108.61 108.61 33.01°
Atoms (fractional coordinates):
Nd 0.1426 0.1426 0.3339
Nd 0.1593 0.1593 0.8192
Nd 0.8407 0.8407 0.1808
Nd 0.8574 0.8574 0.6661
Cu 0.5000 0.5000 0.0000
Cu 0.5000 0.5000 0.5000
O 0.0000 0.0000 0.5000
O 0.2249 0.2249 0.1153
O 0.2479 0.2479 0.6199
O 0.4897 0.4897 0.2089
O 0.5103 0.5103 0.7911
O 0.7521 0.7521 0.3801
O 0.7751 0.7751 0.8847